Starting from a PBE-relaxed structure, the powder XRD pattern of CsTmRe2O8 was computed for Cu Kα (weighted mean of Kα1 and Kα2).
Neutral-atom scattering factors, no anomalous dispersion.

Structure:
```
data_CsTmRe2O8
_chemical_formula_sum 'Cs1 Tm1 Re2 O8'
_space_group_name_H-M_alt 'P -3'
_space_group_IT_number 147
_cell_length_a 6.0213
_cell_length_b 6.0213
_cell_length_c 8.4326
_cell_angle_alpha 90.00
_cell_angle_beta 90.00
_cell_angle_gamma 120.00
loop_
_space_group_symop_operation_xyz
'x,y,z'
'-x,-y,-z'
'-y,x-y,z'
'y,-x+y,-z'
'-x+y,-x,z'
'x-y,x,-z'
loop_
_atom_site_label
_atom_site_type_symbol
_atom_site_fract_x
_atom_site_fract_y
_atom_site_fract_z
Cs1 Cs 0.0000 0.0000 0.0000
Tm1 Tm 0.0000 0.0000 0.5000
Re1 Re 0.3333 0.6667 0.7287
O1 O 0.1685 0.3398 0.6567
O2 O 0.3333 0.6667 0.9383
```

Main lines, sorted by position (2θ from 10° to 80°):
- 20.0 deg, I 100, hkl 0 1 1
- 27.2 deg, I 81, hkl 0 1 2
- 29.7 deg, I 66, hkl 1 1 0
- 40.7 deg, I 30, hkl 0 2 2
- 51.2 deg, I 29, hkl 3 -2 2
- 53.0 deg, I 24, hkl 1 1 4